No. 1
Na3NiBSO7: calculated X-ray powder pattern (Cu Kα X-rays), based on DFT lattice parameters and positions (PBE+U).
Peak positions follow from Bragg's law for the DFT cell and can differ from measured ones.

a = 5.2693 Å, b = 6.7622 Å, c = 8.9698 Å
α = 90.00°, β = 91.31°, γ = 90.00°
Sites, in units of the cell vectors:
Na 0.2428 0.0071 0.2594
Na 0.2428 0.4929 0.2594
Na 0.2517 0.2500 0.5625
Na 0.7483 0.7500 0.4375
Na 0.7572 0.5071 0.7406
Na 0.7572 0.9929 0.7406
Ni 0.2311 0.7500 0.8357
Ni 0.7689 0.2500 0.1643
B 0.2670 0.7500 0.5670
B 0.7330 0.2500 0.4330
S 0.2846 0.2500 0.9203
S 0.7154 0.7500 0.0797
O 0.0338 0.7500 0.6394
O 0.1412 0.2500 0.0615
O 0.2189 0.0732 0.8276
O 0.2189 0.4268 0.8276
O 0.2902 0.7500 0.4164
O 0.4355 0.7500 0.0433
O 0.4763 0.7500 0.6671
O 0.5237 0.2500 0.3329
O 0.5645 0.2500 0.9567
O 0.7098 0.2500 0.5836
O 0.7811 0.5732 0.1724
O 0.7811 0.9268 0.1724
O 0.8588 0.7500 0.9385
O 0.9662 0.2500 0.3606

The 6 most intense peaks (5° ≤ 2θ ≤ 70°), in order of rising 2θ:
Position (°2θ)  Rel. int.
9.9  68
25.8  44
26.4  100
32.9  49
33.2  70
34.0  59



No. 2
Na2VBPO7: calculated X-ray powder pattern (Cu Kα X-rays), based on DFT lattice parameters and positions (PBE+U).
Peak positions follow from Bragg's law for the DFT cell and can differ from measured ones.

a = 8.4553 Å, b = 8.4564 Å, c = 9.2659 Å
α = 92.26°, β = 92.23°, γ = 99.37°
Sites, in units of the cell vectors:
Na 0.1176 0.1165 0.2970
Na 0.1324 0.6275 0.7069
Na 0.3658 0.8663 0.2922
Na 0.3789 0.3826 0.7122
Na 0.6211 0.6174 0.2878
Na 0.6342 0.1337 0.7078
Na 0.8676 0.3725 0.2931
Na 0.8824 0.8835 0.7030
V 0.0168 0.7660 0.1550
V 0.4875 0.7362 0.8381
V 0.5125 0.2638 0.1619
V 0.9832 0.2340 0.8450
B 0.0070 0.2582 0.5855
B 0.4860 0.2373 0.4174
B 0.5140 0.7627 0.5826
B 0.9930 0.7418 0.4145
P 0.2414 0.4902 0.0590
P 0.2583 0.0067 0.9403
P 0.7417 0.9933 0.0597
P 0.7586 0.5098 0.9410
O 0.0317 0.2860 0.4500
O 0.0998 0.3514 0.0187
O 0.1006 0.3493 0.7088
O 0.1039 0.8539 0.3489
O 0.1235 0.0618 0.8468
O 0.1849 0.6225 0.1549
O 0.1850 0.9297 0.0779
O 0.3149 0.5600 0.9212
O 0.3234 0.8744 0.8491
O 0.3713 0.4230 0.1522
O 0.3940 0.1425 0.3000
O 0.3964 0.1473 0.9799
O 0.4004 0.6503 0.6536
O 0.4677 0.2220 0.5555
O 0.5323 0.7780 0.4445
O 0.5996 0.3497 0.3464
O 0.6036 0.8527 0.0201
O 0.6060 0.8575 0.7000
O 0.6287 0.5770 0.8478
O 0.6766 0.1256 0.1509
O 0.6851 0.4400 0.0788
O 0.8150 0.0703 0.9221
O 0.8151 0.3775 0.8451
O 0.8765 0.9382 0.1532
O 0.8961 0.1461 0.6511
O 0.8994 0.6507 0.2912
O 0.9002 0.6486 0.9813
O 0.9683 0.7140 0.5500

The 6 most intense peaks (5° ≤ 2θ ≤ 70°), in order of rising 2θ:
Position (°2θ)  Rel. int.
9.6  100
16.8  57
23.8  21
24.5  53
27.7  25
32.8  24



No. 3
Na6V2B4PO16: calculated X-ray powder pattern (Cu Kα X-rays), based on DFT lattice parameters and positions (PBE+U).
Peak positions follow from Bragg's law for the DFT cell and can differ from measured ones.

a = 9.9227 Å, b = 9.9227 Å, c = 9.9227 Å
α = 60.00°, β = 60.00°, γ = 60.00°
Sites, in units of the cell vectors:
Na 0.0848 0.0848 0.6652
Na 0.0848 0.6652 0.0848
Na 0.0848 0.6652 0.6652
Na 0.3348 0.3348 0.9152
Na 0.3348 0.9152 0.3348
Na 0.3348 0.9152 0.9152
Na 0.6652 0.0848 0.0848
Na 0.6652 0.0848 0.6652
Na 0.6652 0.6652 0.0848
Na 0.9152 0.3348 0.3348
Na 0.9152 0.3348 0.9152
Na 0.9152 0.9152 0.3348
V 0.0000 0.5000 0.5000
V 0.5000 0.0000 0.5000
V 0.5000 0.5000 0.0000
V 0.5000 0.5000 0.5000
B 0.2892 0.2892 0.2892
B 0.2892 0.2892 0.6325
B 0.2892 0.6325 0.2892
B 0.3675 0.7108 0.7108
B 0.6325 0.2892 0.2892
B 0.7108 0.3675 0.7108
B 0.7108 0.7108 0.3675
B 0.7108 0.7108 0.7108
P 0.1250 0.1250 0.1250
P 0.8750 0.8750 0.8750
O 0.0610 0.0610 0.0610
O 0.0610 0.0610 0.3170
O 0.0610 0.3170 0.0610
O 0.1340 0.3242 0.6366
O 0.1340 0.4052 0.3242
O 0.1340 0.6366 0.4052
O 0.3170 0.0610 0.0610
O 0.3242 0.1340 0.4052
O 0.3242 0.4052 0.6366
O 0.3242 0.6366 0.1340
O 0.3634 0.5948 0.8660
O 0.3634 0.6758 0.5948
O 0.3634 0.8660 0.6758
O 0.4052 0.1340 0.6366
O 0.4052 0.3242 0.1340
O 0.4052 0.6366 0.3242
O 0.5948 0.3634 0.6758
O 0.5948 0.6758 0.8660
O 0.5948 0.8660 0.3634
O 0.6366 0.1340 0.3242
O 0.6366 0.3242 0.4052
O 0.6366 0.4052 0.1340
O 0.6758 0.3634 0.8660
O 0.6758 0.5948 0.3634
O 0.6758 0.8660 0.5948
O 0.6830 0.9390 0.9390
O 0.8660 0.3634 0.5948
O 0.8660 0.5948 0.6758
O 0.8660 0.6758 0.3634
O 0.9390 0.6830 0.9390
O 0.9390 0.9390 0.6830
O 0.9390 0.9390 0.9390

The 6 most intense peaks (5° ≤ 2θ ≤ 70°), in order of rising 2θ:
Position (°2θ)  Rel. int.
10.9  34
21.0  93
33.2  100
36.2  48
46.2  29
56.8  29



No. 4
Na3VBPO7: calculated X-ray powder pattern (Cu Kα X-rays), based on DFT lattice parameters and positions (PBE+U).
Peak positions follow from Bragg's law for the DFT cell and can differ from measured ones.

a = 5.3242 Å, b = 6.6136 Å, c = 8.9949 Å
α = 90.00°, β = 91.49°, γ = 90.00°
Sites, in units of the cell vectors:
Na 0.2437 0.2500 0.0716
Na 0.2528 0.5030 0.7482
Na 0.2528 0.9970 0.7482
Na 0.7472 0.0030 0.2518
Na 0.7472 0.4970 0.2518
Na 0.7563 0.7500 0.9284
V 0.2191 0.7500 0.3359
V 0.7809 0.2500 0.6641
B 0.2702 0.7500 0.0661
B 0.7298 0.2500 0.9339
P 0.2826 0.2500 0.4214
P 0.7174 0.7500 0.5786
O 0.0351 0.7500 0.1340
O 0.1293 0.2500 0.5654
O 0.2148 0.0628 0.3229
O 0.2148 0.4372 0.3229
O 0.3059 0.7500 0.9186
O 0.4312 0.7500 0.5394
O 0.4687 0.7500 0.1747
O 0.5313 0.2500 0.8253
O 0.5688 0.2500 0.4606
O 0.6941 0.2500 0.0814
O 0.7852 0.5628 0.6771
O 0.7852 0.9372 0.6771
O 0.8707 0.7500 0.4346
O 0.9649 0.2500 0.8660

The 6 most intense peaks (5° ≤ 2θ ≤ 70°), in order of rising 2θ:
Position (°2θ)  Rel. int.
9.8  83
25.6  36
27.0  88
33.3  54
33.6  100
33.7  72



No. 5
Na2VBPO7: calculated X-ray powder pattern (Cu Kα X-rays), based on DFT lattice parameters and positions (PBE+U).
Peak positions follow from Bragg's law for the DFT cell and can differ from measured ones.

a = 10.4890 Å, b = 6.3921 Å, c = 11.0328 Å
α = 90.00°, β = 118.11°, γ = 90.00°
Sites, in units of the cell vectors:
Na 0.2111 0.0037 0.4741
Na 0.2108 0.0042 0.9738
Na 0.2108 0.4958 0.4738
Na 0.2111 0.4963 0.9741
Na 0.7889 0.5037 0.0259
Na 0.7892 0.5042 0.5262
Na 0.7892 0.9958 0.0262
Na 0.7889 0.9963 0.5259
V 0.3381 0.2496 0.3082
V 0.3381 0.2504 0.8082
V 0.6619 0.7496 0.1918
V 0.6619 0.7504 0.6918
B 0.0825 0.2499 0.1543
B 0.0825 0.2501 0.6543
B 0.9175 0.7499 0.3457
B 0.9175 0.7501 0.8457
P 0.4427 0.7496 0.3358
P 0.4427 0.7504 0.8358
P 0.5573 0.2496 0.1642
P 0.5573 0.2504 0.6642
O 0.0556 0.7501 0.4307
O 0.0556 0.7499 0.9307
O 0.1537 0.2498 0.3017
O 0.1537 0.2502 0.8017
O 0.1999 0.2501 0.1202
O 0.1999 0.2499 0.6202
O 0.3482 0.5545 0.3242
O 0.3479 0.5551 0.8235
O 0.3479 0.9449 0.3235
O 0.3482 0.9455 0.8242
O 0.4210 0.2499 0.0233
O 0.4210 0.2501 0.5233
O 0.4788 0.7492 0.2147
O 0.4788 0.7508 0.7147
O 0.5212 0.2492 0.2853
O 0.5212 0.2508 0.7853
O 0.5790 0.7499 0.4767
O 0.5790 0.7501 0.9767
O 0.6518 0.0545 0.1758
O 0.6521 0.0551 0.6765
O 0.6521 0.4449 0.1765
O 0.6518 0.4455 0.6758
O 0.8001 0.7501 0.3798
O 0.8001 0.7499 0.8798
O 0.8463 0.7498 0.1983
O 0.8463 0.7502 0.6983
O 0.9444 0.2501 0.0693
O 0.9444 0.2499 0.5693

The 6 most intense peaks (5° ≤ 2θ ≤ 70°), in order of rising 2θ:
Position (°2θ)  Rel. int.
9.6  100
16.9  59
24.4  51
27.9  24
32.5  26
34.1  31



No. 6
Na2VBPO7: calculated X-ray powder pattern (Cu Kα X-rays), based on DFT lattice parameters and positions (PBE+U).
Peak positions follow from Bragg's law for the DFT cell and can differ from measured ones.

a = 8.4558 Å, b = 8.4824 Å, c = 10.4306 Å
α = 107.42°, β = 107.50°, γ = 99.91°
Sites, in units of the cell vectors:
Na 0.0000 0.0000 0.0000
Na 0.0550 0.0625 0.5908
Na 0.2507 0.7537 0.0044
Na 0.3132 0.8132 0.5942
Na 0.5024 0.5004 0.0034
Na 0.5633 0.5655 0.5947
Na 0.7508 0.2505 0.0017
Na 0.8097 0.3052 0.5883
V 0.0980 0.3480 0.4571
V 0.4677 0.2180 0.1406
V 0.5898 0.8411 0.4501
V 0.9648 0.7192 0.1395
B 0.2532 0.5041 0.7130
B 0.3139 0.0671 0.8810
B 0.7458 0.9970 0.7101
B 0.8156 0.5629 0.8802
P 0.2428 0.4946 0.2351
P 0.3161 0.0681 0.3567
P 0.7427 0.9940 0.2360
P 0.8178 0.5668 0.3572
O 0.1048 0.3558 0.6435
O 0.1220 0.3751 0.2756
O 0.1394 0.5830 0.1434
O 0.1709 0.9275 0.2189
O 0.2189 0.9745 0.7450
O 0.2330 0.1819 0.4486
O 0.2821 0.0347 0.0041
O 0.2872 0.5381 0.5942
O 0.3315 0.3901 0.1443
O 0.3403 0.5913 0.8511
O 0.3876 0.6381 0.3745
O 0.4186 0.9824 0.4514
O 0.4370 0.1831 0.3132
O 0.4602 0.2104 0.9468
O 0.6015 0.8524 0.6462
O 0.6220 0.8737 0.2772
O 0.6368 0.0783 0.1414
O 0.6751 0.4224 0.2196
O 0.7235 0.4687 0.7441
O 0.7335 0.6718 0.4514
O 0.7750 0.0267 0.5853
O 0.7835 0.5306 0.0031
O 0.8274 0.8860 0.1421
O 0.8416 0.0923 0.8455
O 0.8841 0.1335 0.3754
O 0.9294 0.4823 0.4491
O 0.9356 0.6840 0.3128
O 0.9593 0.7094 0.9464

The 6 most intense peaks (5° ≤ 2θ ≤ 70°), in order of rising 2θ:
Position (°2θ)  Rel. int.
9.6  100
16.7  57
24.5  55
26.1  22
27.5  26
32.9  23